For Cr2InOs, a PBE-relaxed structure gives the simulated XRD peak list in this record (Cu Kα, 1.54184 Å).

Most intense lines, 2θ = 10–90°, in order of rising 2θ:
20.0°, I = 544
36.8°, I = 263
39.0°, I = 1000
40.0°, I = 363
40.6°, I = 398
45.2°, I = 581

```
data_Cr2InOs
_chemical_formula_sum 'Cr4 In2 Os2'
_symmetry_space_group_name_H-M 'C 1 2/m 1'
_symmetry_Int_Tables_number 12
_symmetry_space_group_name_Hall '-C 2y'
_cell_length_a 9.082
_cell_length_b 2.909
_cell_length_c 4.730
_cell_angle_alpha 90.00
_cell_angle_beta 101.97
_cell_angle_gamma 90.00
loop_
_atom_site_label
_atom_site_type_symbol
_atom_site_fract_x
_atom_site_fract_y
_atom_site_fract_z
Cr1 Cr 0.240 0.000 0.179
In1 In 0.000 0.000 0.500
Os1 Os 0.000 0.500 0.000
```